The following is a theoretical X-ray diffraction stick pattern of SrZr3. It was derived from a crystal structure in Alexandria, relaxed with PBE, using Cu Ka.

Structural model:
```
SrZr3
1.0
7.4892 0.0000 0.0000
0.0000 7.4892 0.0000
0.0000 0.0000 7.4892
Sr Zr
4 12
Cartesian
0.0000 0.0000 0.0000 Sr
0.0000 3.7446 3.7446 Sr
3.7446 0.0000 3.7446 Sr
3.7446 3.7446 0.0000 Sr
0.0000 0.0000 3.7446 Zr
0.0000 3.7446 0.0000 Zr
1.8723 1.8723 1.8723 Zr
1.8723 1.8723 5.6169 Zr
1.8723 5.6169 1.8723 Zr
1.8723 5.6169 5.6169 Zr
3.7446 0.0000 0.0000 Zr
3.7446 3.7446 3.7446 Zr
5.6169 1.8723 1.8723 Zr
5.6169 1.8723 5.6169 Zr
5.6169 5.6169 1.8723 Zr
5.6169 5.6169 5.6169 Zr
```

Most intense lines, 2θ from 15° to 90°, by angle:
2θ/deg	I/Imax
33.9	100
48.6	18
60.6	36
71.2	11
81.2	15

=====

The following is a theoretical X-ray diffraction stick pattern of Y3ThTe4. It was derived from a crystal structure in Alexandria, relaxed with PBE, using Cu Ka.

Structural model:
```
Y3ThTe4
1.0
8.8661 0.0000 0.0000
0.0000 12.4421 0.0000
0.0000 0.0000 4.3498
Y Th Te
6 2 8
Cartesian
0.0000 0.0000 0.0000 Y
2.2165 3.1105 2.1749 Y
2.2165 9.3316 2.1749 Y
4.4331 6.2210 0.0000 Y
6.6496 3.1105 2.1749 Y
6.6496 9.3316 2.1749 Y
0.0000 6.2210 0.0000 Th
4.4331 0.0000 0.0000 Th
0.0000 3.0625 0.0000 Te
0.0000 9.3796 0.0000 Te
2.1436 0.0000 2.1749 Te
2.2894 6.2210 2.1749 Te
4.4331 3.1586 0.0000 Te
4.4331 9.2835 0.0000 Te
6.5767 6.2210 2.1749 Te
6.7225 0.0000 2.1749 Te
```

Most intense lines, 2θ from 15° to 90°, by angle:
2θ/deg	I/Imax
28.7	100
40.7	13
41.1	50
41.5	12
50.6	14
51.3	13
59.6	8
67.4	23
74.3	8
75.4	8

=====

The following is a theoretical X-ray diffraction stick pattern of ThCuTcGe2. It was derived from a crystal structure in Alexandria, relaxed with PBE, using Cu Ka.

Structural model:
```
ThCuTcGe2
1.0
4.1000 0.0000 0.0000
0.0000 4.1000 0.0000
0.0000 0.0000 10.9799
Th Cu Tc Ge
2 2 2 4
Cartesian
0.0000 0.0000 0.0000 Th
2.0500 2.0500 5.4899 Th
0.0000 2.0500 2.7450 Cu
2.0500 0.0000 8.2349 Cu
0.0000 2.0500 8.2349 Tc
2.0500 0.0000 2.7450 Tc
0.0000 0.0000 4.1540 Ge
0.0000 0.0000 6.8259 Ge
2.0500 2.0500 1.3360 Ge
2.0500 2.0500 9.6439 Ge
```

Most intense lines, 2θ from 15° to 90°, by angle:
2θ/deg	I/Imax
23.2	24
30.8	18
32.8	78
35.0	100
44.2	48
46.9	32
56.1	35
59.8	19
66.4	23
75.3	21

=====

The following is a theoretical X-ray diffraction stick pattern of Ca2BrO. It was derived from a crystal structure in Alexandria, relaxed with PBE, using Cu Ka.

Structural model:
```
Ca2BrO
1.0
6.2650 0.0000 0.0000
0.0000 6.2650 0.0000
0.0000 0.0000 10.8754
Ca Br O
8 4 4
Cartesian
0.9308 1.5662 1.3594 Ca
1.5662 4.0633 4.0783 Ca
1.5662 5.3342 9.5160 Ca
2.2017 1.5662 6.7971 Ca
4.0633 4.6987 6.7971 Ca
4.6987 0.9308 9.5160 Ca
4.6987 2.2017 4.0783 Ca
5.3342 4.6987 1.3594 Ca
0.0000 0.0000 5.4377 Br
0.0000 3.1325 8.1566 Br
3.1325 0.0000 2.7189 Br
3.1325 3.1325 0.0000 Br
0.0000 0.0000 0.0000 O
0.0000 3.1325 2.7189 O
3.1325 0.0000 8.1566 O
3.1325 3.1325 5.4377 O
```

Most intense lines, 2θ from 15° to 90°, by angle:
2θ/deg	I/Imax
25.9	100
28.5	32
33.0	52
40.7	23
44.1	55
48.9	22
53.4	11
58.9	12
69.2	12
76.5	12

=====

The following is a theoretical X-ray diffraction stick pattern of TbMnFeSi3. It was derived from a crystal structure in Alexandria, relaxed with PBE, using Cu Ka.

Structural model:
```
TbMnFeSi3
1.0
2.8960 -5.5556 0.0000
2.8960 5.5556 0.0000
0.0000 0.0000 6.0777
Tb Mn Fe Si
2 2 2 6
Cartesian
2.8960 2.9089 4.5583 Tb
2.8960 -2.9089 1.5194 Tb
2.8960 0.1334 1.5194 Mn
2.8960 -0.1334 4.5583 Mn
2.8960 4.3493 1.5194 Fe
2.8960 -4.3493 4.5583 Fe
1.1933 0.0000 0.0000 Si
1.1933 0.0000 3.0388 Si
2.8960 2.2419 1.5194 Si
2.8960 -2.2419 4.5583 Si
4.5987 0.0000 0.0000 Si
4.5987 0.0000 3.0388 Si
```

Most intense lines, 2θ from 15° to 90°, by angle:
2θ/deg	I/Imax
22.7	34
29.4	36
30.9	34
32.2	100
33.6	24
34.9	20
43.2	51
54.0	18
54.9	18
72.3	19

=====

The following is a theoretical X-ray diffraction stick pattern of Sm3DyCo2. It was derived from a crystal structure in Alexandria, relaxed with PBE, using Cu Ka.

Structural model:
```
Sm3DyCo2
1.0
8.3803 -1.8894 0.0000
8.3803 1.8894 0.0000
-6.7027 0.0000 9.7118
Sm Dy Co
6 2 4
Cartesian
-1.5916 0.0000 4.3245 Sm
-4.8909 0.0000 9.1209 Sm
0.6670 0.0000 7.2943 Sm
9.3908 0.0000 2.4175 Sm
14.9488 0.0000 0.5909 Sm
11.6495 0.0000 5.3873 Sm
4.0128 0.0000 2.4091 Dy
6.0451 0.0000 7.3027 Dy
1.4233 0.0000 4.3829 Co
-1.9178 0.0000 9.2615 Co
11.9757 0.0000 0.4502 Co
8.6345 0.0000 5.3289 Co
```

Most intense lines, 2θ from 15° to 90°, by angle:
2θ/deg	I/Imax
29.5	80
30.7	100
31.3	31
32.3	61
32.9	96
40.5	69
41.5	35
48.2	33
54.5	27
58.2	34

=====

The following is a theoretical X-ray diffraction stick pattern of Na5Pr4Ge4O16F. It was derived from a crystal structure in Alexandria, relaxed with PBE, using Cu Ka.

Structural model:
```
Na5Pr4Ge4O16F
1.0
-6.1211 6.1211 2.8789
6.1211 -6.1211 2.8789
6.1211 6.1211 -2.8789
Na Pr Ge O F
5 4 4 16 1
Cartesian
0.0000 0.0000 0.0000 Na
5.0589 1.2835 -0.1521 Na
4.8376 -1.0622 3.0310 Na
1.2835 7.1833 0.1521 Na
1.0622 4.8376 2.7268 Na
7.5312 3.8899 -0.1463 Pr
3.8899 4.7111 0.1463 Pr
2.2312 1.4101 3.0252 Pr
-1.4101 2.2312 2.7326 Pr
9.2005 1.2504 0.0645 Ge
1.2504 3.0417 -0.0645 Ge
4.8707 3.0794 2.8144 Ge
-3.0794 4.8707 2.9434 Ge
5.5517 4.0044 -1.6011 O
7.4573 1.3071 -0.2415 O
2.9283 2.5196 -0.4532 O
2.6598 -0.4343 1.5960 O
3.4613 6.5554 -1.2829 O
3.6016 -3.1928 3.3320 O
0.5694 2.1167 1.2778 O
1.3071 4.7849 0.2415 O
5.6868 3.4613 1.2829 O
4.8140 1.3362 3.1204 O
3.1928 3.6016 2.4257 O
2.1167 -0.5694 4.4800 O
4.0044 6.6906 1.6011 O
2.5196 9.3139 0.4532 O
-1.3362 4.8140 2.6374 O
0.4343 2.6598 4.1618 O
0.0000 0.0000 2.8789 F
```

Most intense lines, 2θ from 15° to 90°, by angle:
2θ/deg	I/Imax
17.0	43
22.4	76
26.8	42
30.6	100
31.1	70
32.7	40
34.0	82
40.0	38
45.7	49
47.9	46

=====

The following is a theoretical X-ray diffraction stick pattern of NdGa2HgPd5. It was derived from a crystal structure in Alexandria, relaxed with PBE, using Cu Ka.

Structural model:
```
NdGa2HgPd5
1.0
4.1996 0.0000 0.0000
0.0000 4.1996 0.0000
0.0000 0.0000 9.4352
Nd Ga Hg Pd
1 2 1 5
Cartesian
0.0000 0.0000 0.0000 Nd
2.0998 2.0998 3.4883 Ga
2.0998 2.0998 5.9469 Ga
0.0000 0.0000 4.7176 Hg
0.0000 2.0998 2.1342 Pd
0.0000 2.0998 7.3010 Pd
2.0998 0.0000 2.1342 Pd
2.0998 0.0000 7.3010 Pd
2.0998 2.0998 0.0000 Pd
```

Most intense lines, 2θ from 15° to 90°, by angle:
2θ/deg	I/Imax
28.5	13
35.7	100
38.2	11
41.8	10
43.1	39
44.0	10
58.9	13
62.6	13
67.4	11
74.2	22